Simulated PXRD pattern
Compound: MnV4F12
Radiation: copper Kα
Structure: a crystal structure in Alexandria, relaxed with PBE+U

abc: 6.795 6.795 7.653
angles: 123.99 123.99 71.76
Element x y z (fractional)
Mn (0.000, 0.000, 0.000)
V (0.000, 0.500, 0.000)
V (0.000, 0.500, 0.500)
V (0.500, 0.000, 0.000)
V (0.500, 0.000, 0.500)
F (0.001, 0.397, 0.690)
F (0.222, 0.222, 0.052)
F (0.226, 0.757, 0.811)
F (0.242, 0.242, 0.428)
F (0.243, 0.774, 0.189)
F (0.397, 0.001, 0.690)
F (0.603, 0.999, 0.310)
F (0.757, 0.226, 0.811)
F (0.758, 0.758, 0.572)
F (0.774, 0.243, 0.189)
F (0.778, 0.778, 0.948)
F (0.999, 0.603, 0.310)

Peak list (10 most intense, 10° ≤ 2θ ≤ 90°, most intense first)
d [Å]	I (rel.)
3.984	100
1.992	54
5.634	35
5.524	33
2.759	32
3.827	29
2.817	21
2.507	20
1.618	18
1.612	17